# PmSm2DyN4
Calculated X-ray diffraction stick pattern, CuKα. Input: a DFT-relaxed cell (PBE, Alexandria).
Lines closer than 0.1° are merged.

Atomic structure:
a b c (Å): 6.1766 3.5683 6.1773
angles (deg): 90.00 109.42 90.00
Space group P2/m (No. 10)
One atom of each set of equivalent atoms:
Pm 0.0000 0.0000 0.0000 x1
Sm 0.5000 0.0000 0.5000 x1
Sm 0.5000 0.5000 0.0000 x1
Dy 0.0000 0.5000 0.5000 x1
N 0.2460 0.0000 0.7450 x2
N 0.2486 0.5000 0.2535 x2

The 8 most intense peaks (10 to 90 degrees two-theta), most intense first:
Position (°2θ)	I (rel.)	index
30.70	1000	2 0 0
35.59	731	1 1 1
51.22	506	2 0 2
60.90	453	3 1 1
86.22	225	4 2 0
83.53	191	4 0 2
63.92	170	4 0 0
75.36	78	2 2 2

# HgAuS4
Calculated X-ray diffraction stick pattern, CuKα. Input: a DFT-relaxed cell (PBE, Alexandria).
Lines closer than 0.1° are merged.

Atomic structure:
a b c (Å): 5.4640 13.2857 5.5171
angles (deg): 90.00 114.71 90.00
Space group P2/c (No. 13)
One atom of each set of equivalent atoms:
Hg 0.0000 0.1098 0.2500 x2
Au 0.5000 0.3960 0.2500 x2
S 0.0369 0.3951 0.0853 x4
S 0.1818 0.1184 0.7263 x4

The 10 most intense peaks (10 to 90 degrees two-theta), most intense first:
Position (°2θ)	I (rel.)	index
26.85	1000	0 4 0
19.09	739	1 1 0
23.44	720	1 2 -1
18.93	480	0 1 1
33.32	312	1 1 -2
33.14	305	1 2 1
38.83	285	2 3 -1
51.76	283	1 2 -3
47.65	262	1 5 -2
45.36	246	0 4 2